Entry 1:
Starting from a DFT-relaxed cell (GGA-PBE, Alexandria), the powder XRD pattern of ErLu3 was simulated for Cu Kα (weighted mean of Kα1 and Kα2).

Main lines, by angle (2θ from 10° to 90°):
2θ = 31.6°, I = 100
2θ = 36.7°, I = 51
2θ = 52.9°, I = 36
2θ = 62.9°, I = 42
2θ = 86.7°, I = 18
2θ = 89.5°, I = 17

Cell and atoms:
Cell: 4.897 4.897 4.897 Å, 90.00 90.00 90.00°
Positions (direct):
Er (0.000, 0.000, 0.000)
Lu (0.000, 0.500, 0.500)
Lu (0.500, 0.000, 0.500)
Lu (0.500, 0.500, 0.000)


Entry 2:
Starting from a DFT-relaxed cell (GGA-PBE, Alexandria), the powder XRD pattern of ErLu3 was simulated for Cu Kα (weighted mean of Kα1 and Kα2).

Main lines, by angle (2θ from 10° to 90°):
2θ = 29.2°, I = 24
2θ = 32.6°, I = 24
2θ = 33.6°, I = 100
2θ = 51.8°, I = 20
2θ = 58.8°, I = 20
2θ = 62.6°, I = 22

Cell and atoms:
Cell: 6.526 6.526 6.526 Å, 148.61 65.48 124.16°
Positions (direct):
Er (0.000, 0.000, 0.000)
Lu (0.416, 0.666, 0.750)
Lu (0.499, 0.999, 0.500)
Lu (0.916, 0.666, 0.250)


Entry 3:
Starting from a DFT-relaxed cell (GGA-PBE, Alexandria), the powder XRD pattern of ErLu was simulated for Cu Kα (weighted mean of Kα1 and Kα2).

Main lines, by angle (2θ from 10° to 90°):
2θ = 32.3°, I = 100
2θ = 46.3°, I = 19
2θ = 57.6°, I = 39
2θ = 67.5°, I = 12
2θ = 76.9°, I = 17
2θ = 85.8°, I = 4

Cell and atoms:
Cell: 3.923 3.923 3.923 Å, 90.00 90.00 90.00°
Positions (direct):
Er (0.000, 0.000, 0.000)
Lu (0.500, 0.500, 0.500)


Entry 4:
Starting from a DFT-relaxed cell (GGA-PBE, Alexandria), the powder XRD pattern of ErLuMgPb was simulated for Cu Kα (weighted mean of Kα1 and Kα2).

Main lines, by angle (2θ from 10° to 90°):
2θ = 20.5°, I = 22
2θ = 33.8°, I = 100
2θ = 39.9°, I = 13
2θ = 48.6°, I = 18
2θ = 60.5°, I = 38
2θ = 81.1°, I = 17

Cell and atoms:
Cell: 5.302 5.302 5.302 Å, 60.00 60.00 60.00°
Positions (direct):
Er (0.000, 0.000, 0.000)
Lu (0.500, 0.500, 0.500)
Mg (0.750, 0.750, 0.750)
Pb (0.250, 0.250, 0.250)


Entry 5:
Starting from a DFT-relaxed cell (GGA-PBE, Alexandria), the powder XRD pattern of ErLuScMn was simulated for Cu Kα (weighted mean of Kα1 and Kα2).

Main lines, by angle (2θ from 10° to 90°):
2θ = 24.5°, I = 35
2θ = 35.0°, I = 100
2θ = 50.3°, I = 18
2θ = 56.8°, I = 16
2θ = 62.8°, I = 36
2θ = 84.5°, I = 16

Cell and atoms:
Cell: 5.129 5.129 5.129 Å, 60.00 60.00 60.00°
Positions (direct):
Er (0.000, 0.000, 0.000)
Lu (0.500, 0.500, 0.500)
Sc (0.250, 0.250, 0.250)
Mn (0.750, 0.750, 0.750)


Entry 6:
Starting from a DFT-relaxed cell (GGA-PBE, Alexandria), the powder XRD pattern of Er3LuNi was simulated for Cu Kα (weighted mean of Kα1 and Kα2).

Main lines, by angle (2θ from 10° to 90°):
2θ = 29.5°, I = 100
2θ = 34.2°, I = 76
2θ = 49.1°, I = 55
2θ = 58.4°, I = 45
2θ = 61.2°, I = 19
2θ = 82.2°, I = 25

Cell and atoms:
Cell: 5.243 5.243 5.243 Å, 90.00 90.00 90.00°
Positions (direct):
Er (0.000, 0.000, 0.500)
Er (0.000, 0.500, 0.000)
Er (0.500, 0.000, 0.000)
Lu (0.500, 0.500, 0.500)
Ni (0.000, 0.000, 0.000)


Entry 7:
Starting from a DFT-relaxed cell (GGA-PBE, Alexandria), the powder XRD pattern of ErLuNiPb was simulated for Cu Kα (weighted mean of Kα1 and Kα2).

Main lines, by angle (2θ from 10° to 90°):
2θ = 21.4°, I = 12
2θ = 35.3°, I = 100
2θ = 50.8°, I = 18
2θ = 63.4°, I = 37
2θ = 74.8°, I = 11
2θ = 85.5°, I = 17

Cell and atoms:
Cell: 5.080 5.080 5.080 Å, 60.00 60.00 60.00°
Positions (direct):
Er (0.000, 0.000, 0.000)
Lu (0.500, 0.500, 0.500)
Ni (0.750, 0.750, 0.750)
Pb (0.250, 0.250, 0.250)


Entry 8:
Starting from a DFT-relaxed cell (GGA-PBE, Alexandria), the powder XRD pattern of Er2LuPb was simulated for Cu Kα (weighted mean of Kα1 and Kα2).

Main lines, by angle (2θ from 10° to 90°):
2θ = 31.8°, I = 100
2θ = 35.3°, I = 38
2θ = 39.9°, I = 13
2θ = 50.7°, I = 14
2θ = 54.3°, I = 22
2θ = 61.1°, I = 32

Cell and atoms:
Cell: 3.600 3.600 9.031 Å, 90.00 90.00 90.00°
Positions (direct):
Er (0.000, 0.000, 0.240)
Er (0.000, 0.000, 0.760)
Lu (0.500, 0.500, 0.500)
Pb (0.500, 0.500, 0.000)